# Cs2InClF6
Computed powder diffractogram, Cu Kα. Input: a structure optimized by DFT (PBE).
Kinematic intensities with the Lorentz-polarization factor, no thermal factor.

Top 12 peaks for 2θ = 10–90°, in order of falling intensity:
| 2theta | I/Imax | h k l |
| --- | --- | --- |
| 26.11 | 100 | 1 1 2 |
| 27.92 | 40 | 2 0 0 |
| 48.30 | 36 | 3 1 2 |
| 39.90 | 32 | 2 2 0 |
| 53.71 | 21 | 2 2 4 |
| 34.45 | 21 | 0 0 4 |
| 16.27 | 21 | 1 0 1 |
| 44.91 | 20 | 2 0 4 |
| 32.88 | 18 | 2 0 2 |
| 56.83 | 14 | 1 1 6 |
| 71.67 | 13 | 3 1 6 |
| 57.70 | 11 | 4 0 0 |

Cell and atoms:
Cell lengths 6.392, 6.392, 10.413 Å; angles 90.00, 90.00, 90.00 degrees
Space group I4/mmm (No. 139)
Inequivalent atoms, fractional coordinates:
Cs 0.000 0.500 0.250
In 0.000 0.000 0.000
Cl 0.000 0.000 0.500
F 0.000 0.000 0.198
F 0.235 0.235 0.000